K3LaAs2O8: theoretical powder diffractogram (CuKα), based on DFT lattice parameters and positions (PBE).
No peak broadening, texture or thermal motion is included.

```
data_K3LaAs2O8
_chemical_formula_sum 'K6 La2 As4 O16'
_cell_length_a 7.6888
_cell_length_b 5.9273
_cell_length_c 10.0824
_cell_angle_alpha 90.00
_cell_angle_beta 91.65
_cell_angle_gamma 90.00
_space_group_name_H-M_alt 'P 1 21 1'
_space_group_IT_number 4
loop_
_space_group_symop_operation_xyz
'x,y,z'
'-x,y+1/2,-z'
loop_
_atom_site_label
_atom_site_fract_x
_atom_site_fract_y
_atom_site_fract_z
K1 0.0107 0.0000 0.1912
K2 0.1404 0.5021 0.4042
K3 0.3153 0.9883 0.9175
La1 0.4903 0.4829 0.7075
As1 0.2531 0.4889 0.0844
As2 0.2982 0.0093 0.5733
O1 0.0332 0.4774 0.0979
O2 0.2120 0.9892 0.4140
O3 0.2174 0.2424 0.6543
O4 0.2528 0.7674 0.6618
O5 0.3193 0.4813 0.9219
O6 0.3328 0.7357 0.1556
O7 0.3480 0.2627 0.1685
O8 0.4836 0.5628 0.4443
```

The 8 most intense peaks (15 to 90 degrees two-theta), sorted by position:
| Position (°2θ) | d [Å] | I_rel | index |
| --- | --- | --- | --- |
| 20.80 | 4.271 | 34 | 1 0 -2 |
| 21.02 | 4.226 | 83 | 1 1 1 |
| 28.84 | 3.096 | 73 | 2 0 -2 |
| 29.29 | 3.049 | 76 | 2 1 1 |
| 30.16 | 2.964 | 73 | 0 2 0 |
| 30.59 | 2.923 | 100 | 0 1 3 |
| 39.10 | 2.304 | 29 | 3 1 -1 |
| 42.18 | 2.143 | 32 | 2 2 -2 |